Starting from a structure optimized by DFT (GGA-PBE), the powder XRD pattern of ErFe6Ge6 was calculated for Cu Kα (weighted mean of Kα1 and Kα2).

Structural model:
```
ErFe6Ge6
1.0
-2.552 4.056 13.243
2.552 -4.056 13.243
2.552 4.056 -13.243
Er Fe Ge
3 18 18
Direct
0.000 0.000 0.000
0.167 0.667 0.500
0.833 0.333 0.500
0.000 0.000 0.500
0.000 0.500 0.000
0.085 0.833 0.252
0.165 0.167 0.498
0.165 0.667 0.999
0.249 0.500 0.749
0.332 0.333 0.498
0.332 0.833 0.999
0.418 0.167 0.252
0.500 0.000 0.000
0.500 0.500 0.500
0.582 0.833 0.748
0.668 0.167 0.001
0.668 0.667 0.502
0.751 0.500 0.251
0.835 0.333 0.001
0.835 0.833 0.502
0.915 0.167 0.748
0.056 0.556 0.500
0.112 0.112 0.000
0.180 0.333 0.846
0.223 0.223 0.000
0.279 0.779 0.500
0.346 0.000 0.346
0.389 0.889 0.500
0.444 0.444 0.000
0.487 0.333 0.154
0.513 0.667 0.846
0.556 0.556 0.000
0.611 0.111 0.500
0.654 0.000 0.654
0.721 0.221 0.500
0.777 0.777 0.000
0.820 0.667 0.154
0.888 0.888 0.000
0.944 0.444 0.500
```

Largest 10 diffraction maxima, in order of rising 2θ, 10° ≤ 2θ ≤ 90°:
35.19 deg, 2.551 Å, I = 72
38.28 deg, 2.351 Å, I = 13
40.85 deg, 2.209 Å, I = 52
41.84 deg, 2.159 Å, I = 100
44.68 deg, 2.028 Å, I = 24
46.84 deg, 1.939 Å, I = 46
63.14 deg, 1.473 Å, I = 13
67.69 deg, 1.384 Å, I = 23
74.42 deg, 1.275 Å, I = 19
80.39 deg, 1.195 Å, I = 26